Record 1
Calculated X-ray diffraction stick pattern of NaPaSn6 for a wavelength of 1.5418 Å, from a GGA-PBE-relaxed structure.

Main lines, low angle first (15 to 90 degrees two-theta):
- 33.09°, I 100
- 37.23°, I 18
- 38.97°, I 32
- 54.99°, I 24
- 64.51°, I 17
- 66.87°, I 28

Structural model:
Cell: 4.6224 4.6224 9.6612 Å, 90.00 90.00 90.00°
Space group P4/mmm (No. 123)
One atom of each set of equivalent atoms:
Na 0.0000 0.0000 0.0000 x1
Pa 0.0000 0.0000 0.5000 x1
Sn 0.0000 0.5000 0.2505 x4
Sn 0.5000 0.5000 0.0000 x1
Sn 0.5000 0.5000 0.5000 x1

---

Record 2
Calculated X-ray diffraction stick pattern of Pm8Ga2Fe for a wavelength of 1.5418 Å, from a GGA-PBE-relaxed structure.

Main lines, low angle first (15 to 90 degrees two-theta):
- 28.01°, I 46
- 30.77°, I 100
- 31.41°, I 65
- 31.64°, I 28
- 32.97°, I 59
- 35.37°, I 87

Structural model:
Cell: 18.0195 5.0755 6.8818 Å, 90.00 100.57 90.00°
Space group C2/m (No. 12)
One atom of each set of equivalent atoms:
Pm 0.0193 0.0000 0.2781 x4
Pm 0.0919 0.5000 0.9546 x4
Pm 0.1502 0.5000 0.4681 x4
Pm 0.2062 0.0000 0.8030 x4
Ga 0.1903 0.0000 0.2411 x4
Fe 0.0000 0.5000 0.5000 x2